For TaNb3V4O20, a PBE+U-relaxed structure gives the theoretical powder diffractogram in this record (Cu Kα (weighted mean of Kα1 and Kα2)).

Structure:
abc: 7.086 5.637 12.093
angles: 90.00 90.11 90.00
Space group Pm (No. 6)
Inequivalent atoms, fractional coordinates:
Ta (0.000, 0.000, 0.000)
Nb (0.314, 0.500, 0.117)
Nb (0.503, 0.500, 0.619)
Nb (0.816, 0.000, 0.500)
V (0.131, 0.500, 0.405)
V (0.190, 0.000, 0.715)
V (0.632, 0.000, 0.213)
V (0.690, 0.500, 0.906)
O (0.002, 0.251, 0.435)
O (0.129, 0.000, 0.856)
O (0.160, 0.249, 0.059)
O (0.191, 0.500, 0.263)
O (0.320, 0.250, 0.685)
O (0.338, 0.500, 0.484)
O (0.483, 0.500, 0.982)
O (0.503, 0.249, 0.182)
O (0.635, 0.500, 0.764)
O (0.661, 0.250, 0.560)
O (0.688, 0.000, 0.356)
O (0.820, 0.249, 0.937)
O (0.841, 0.000, 0.136)
O (0.985, 0.000, 0.635)

Peak list (10 most intense, 2θ from 15° to 90°, sorted by position)
- 4.600 Å, 2θ = 19.29°, I = 75, hkl 1 0 -2
- 4.411 Å, 2θ = 20.13°, I = 87, hkl 1 1 0
- 4.144 Å, 2θ = 21.44°, I = 100, hkl 1 1 1
- 3.563 Å, 2θ = 24.99°, I = 61, hkl 1 1 2
- 3.505 Å, 2θ = 25.41°, I = 39, hkl 1 0 -3
- 2.975 Å, 2θ = 30.03°, I = 26, hkl 1 1 3
- 2.912 Å, 2θ = 30.71°, I = 52, hkl 2 1 -1
- 2.818 Å, 2θ = 31.75°, I = 27, hkl 0 2 0
- 2.663 Å, 2θ = 33.65°, I = 41, hkl 0 1 4
- 1.790 Å, 2θ = 51.01°, I = 27, hkl 3 2 1